[1]
Starting from DFT lattice parameters and positions (GGA-PBE), the PXRD pattern of Mg4H3Ir3 was computed for Cu Kα, 1.54184 Å.
Intensities are scaled so that the largest is 100.

Cell and atoms:
Unit cell a=5.472 b=4.599 c=5.523 alpha=90.00 beta=111.43 gamma=90.00
Space group P2 (No. 3)
Symmetry-distinct sites (fractional):
Mg 0.000 0.000 0.000 x1
Mg 0.223 0.495 0.746 x2
Mg 0.500 0.996 0.500 x1
H 0.000 0.516 0.000 x1
H 0.216 0.995 0.741 x2
Ir 0.298 0.496 0.273 x2
Ir 0.500 0.995 0.000 x1

Top 12 peaks for 15° ≤ 2θ ≤ 90°, by angle:
d/Å	I (rel.)
5.094	58.5
4.599	19.3
3.428	31.8
3.232	100.0
3.096	37.1
2.335	26.8
2.300	42.3
2.271	38.2
2.244	73.4
2.228	60.4
1.847	32.5
1.616	26.6


[2]
Starting from DFT lattice parameters and positions (GGA-PBE), the PXRD pattern of LiTbAs2 was computed for Cu Kα, 1.54184 Å.
Intensities are scaled so that the largest is 100.

Cell and atoms:
Unit cell a=3.901 b=3.901 c=10.488 alpha=90.00 beta=90.00 gamma=90.00
Space group P4/nmm (No. 129, origin choice 2)
Symmetry-distinct sites (fractional):
Li 0.250 0.750 0.000 x2
Tb 0.250 0.250 0.273 x2
As 0.250 0.250 0.835 x2
As 0.250 0.750 0.500 x2

Top 12 peaks for 15° ≤ 2θ ≤ 90°, by angle:
d/Å	I (rel.)
5.244	25.4
3.657	31.2
3.130	35.0
2.759	22.3
2.604	34.4
2.441	100.0
2.176	22.8
1.951	35.3
1.847	20.5
1.561	14.6
1.341	14.2
1.201	21.0


[3]
Starting from DFT lattice parameters and positions (GGA-PBE), the PXRD pattern of Li5CdHg was computed for Cu Kα, 1.54184 Å.
Intensities are scaled so that the largest is 100.

Cell and atoms:
Unit cell a=6.329 b=6.978 c=6.330 alpha=90.00 beta=90.00 gamma=90.00
Space group Cmmm (No. 65)
Symmetry-distinct sites (fractional):
Li 0.000 0.000 0.000 x2
Li 0.250 0.250 0.256 x8
Cd 0.000 0.000 0.500 x2
Hg 0.000 0.500 0.000 x2

Top 12 peaks for 15° ≤ 2θ ≤ 90°, by angle:
d/Å	I (rel.)
3.767	100.0
3.489	19.3
3.165	30.3
2.344	34.7
2.238	15.2
2.064	19.7
1.924	31.8
1.884	13.9
1.528	7.0
1.517	14.7
1.312	10.9
1.222	7.3